Theoretical powder diffractogram of BaNaScB2O6 for Cu Kα (λ = 1.5418 Å), from a cell relaxed with GGA-PBE.
Neutral-atom scattering factors, no anomalous dispersion.

Peak list (12 most intense, 10 to 90 degrees two-theta, by angle)
Position (°2θ)	Rel. int.
19.53	53.4
20.03	20.0
23.22	58.6
28.25	19.0
32.25	100.0
33.87	62.7
40.71	33.0
41.29	26.9
44.67	33.3
47.47	19.6
52.37	18.5
59.58	22.0

```
BaNaScB2O6
1.0
2.646 1.528 11.630
-2.646 1.528 11.630
0.000 -3.056 11.630
Ba Na Sc B O
2 2 2 4 12
direct
0.103 0.103 0.103
0.897 0.897 0.897
0.379 0.379 0.379
0.621 0.621 0.621
0.000 0.000 0.000
0.500 0.500 0.500
0.203 0.203 0.203
0.296 0.296 0.296
0.704 0.704 0.704
0.797 0.797 0.797
0.098 0.646 0.646
0.109 0.182 0.596
0.182 0.596 0.109
0.354 0.354 0.902
0.354 0.902 0.354
0.404 0.891 0.818
0.596 0.109 0.182
0.646 0.098 0.646
0.646 0.646 0.098
0.818 0.404 0.891
0.891 0.818 0.404
0.902 0.354 0.354
```

Theoretical powder diffractogram of BaNa4Ti2Si10B2O30 for Cu Kα (λ = 1.5418 Å), from a cell relaxed with GGA-PBE.
Neutral-atom scattering factors, no anomalous dispersion.

Peak list (12 most intense, 10 to 90 degrees two-theta, by angle)
Position (°2θ)	Rel. int.
10.20	24.4
10.68	100.0
15.30	53.5
20.47	52.5
20.86	24.2
22.99	25.2
25.15	25.9
25.51	26.4
27.76	22.6
29.77	57.8
30.89	33.5
37.95	21.8

```
BaNa4Ti2Si10B2O30
1.0
7.568 0.000 0.000
0.889 9.714 0.000
0.699 4.391 8.690
Ba Na Ti Si B O
1 4 2 10 2 30
direct
0.000 0.000 0.000
0.427 0.735 0.064
0.436 0.266 0.385
0.564 0.734 0.615
0.573 0.265 0.936
0.425 0.107 0.730
0.575 0.893 0.270
0.103 0.589 0.353
0.172 0.945 0.706
0.184 0.602 0.836
0.226 0.902 0.313
0.286 0.377 0.700
0.714 0.623 0.300
0.774 0.098 0.687
0.816 0.398 0.164
0.828 0.055 0.294
0.897 0.411 0.647
0.140 0.542 0.145
0.860 0.458 0.855
0.021 0.428 0.162
0.046 0.024 0.268
0.053 0.679 0.160
0.114 0.451 0.581
0.153 0.729 0.389
0.208 0.780 0.699
0.244 0.481 0.295
0.253 0.582 0.001
0.259 0.099 0.580
0.279 0.203 0.843
0.287 0.924 0.854
0.320 0.497 0.772
0.351 0.926 0.157
0.381 0.928 0.405
0.442 0.334 0.600
0.558 0.666 0.400
0.619 0.072 0.595
0.649 0.074 0.843
0.680 0.503 0.228
0.713 0.076 0.146
0.721 0.797 0.157
0.741 0.901 0.420
0.747 0.418 0.999
0.756 0.519 0.705
0.792 0.220 0.301
0.847 0.271 0.611
0.886 0.549 0.419
0.947 0.321 0.840
0.954 0.976 0.732
0.979 0.572 0.838
```

Copy entry 1 word for word.
Theoretical powder diffractogram of BaNaScB2O6 for Cu Kα (λ = 1.5418 Å), from a cell relaxed with GGA-PBE.
Neutral-atom scattering factors, no anomalous dispersion.

Peak list (12 most intense, 10 to 90 degrees two-theta, by angle)
Position (°2θ)	Rel. int.
19.53	53.4
20.03	20.0
23.22	58.6
28.25	19.0
32.25	100.0
33.87	62.7
40.71	33.0
41.29	26.9
44.67	33.3
47.47	19.6
52.37	18.5
59.58	22.0

```
BaNaScB2O6
1.0
2.646 1.528 11.630
-2.646 1.528 11.630
0.000 -3.056 11.630
Ba Na Sc B O
2 2 2 4 12
direct
0.103 0.103 0.103
0.897 0.897 0.897
0.379 0.379 0.379
0.621 0.621 0.621
0.000 0.000 0.000
0.500 0.500 0.500
0.203 0.203 0.203
0.296 0.296 0.296
0.704 0.704 0.704
0.797 0.797 0.797
0.098 0.646 0.646
0.109 0.182 0.596
0.182 0.596 0.109
0.354 0.354 0.902
0.354 0.902 0.354
0.404 0.891 0.818
0.596 0.109 0.182
0.646 0.098 0.646
0.646 0.646 0.098
0.818 0.404 0.891
0.891 0.818 0.404
0.902 0.354 0.354
```